Entry 1:
For AcCuGe3, the PBE geometry in OQMD gives the calculated powder X-ray diffraction pattern in this record (Cu Kα, 1.54184 Å).
Peak positions follow from Bragg's law for the DFT cell and can differ from measured ones.

Structure:
a b c (Å): 4.667 4.667 9.649
angles (deg): 90.00 90.00 90.00
Fractional coordinates of all 10 atoms:
Ac 0.000 0.000 0.000
Ac 0.500 0.500 0.500
Cu 0.000 0.000 0.643
Cu 0.500 0.500 0.143
Ge 0.000 0.000 0.387
Ge 0.000 0.500 0.249
Ge 0.000 0.500 0.749
Ge 0.500 0.000 0.249
Ge 0.500 0.000 0.749
Ge 0.500 0.500 0.887

Peak list (10 most intense, 5 to 70 degrees two-theta, sorted by position)
2θ (°)	d/Å	I (rel.)
21.15	4.202	30
27.02	3.300	28
32.88	2.724	100
33.85	2.648	72
38.58	2.334	64
51.22	1.783	20
52.25	1.751	42
55.70	1.650	22
65.92	1.417	19
66.22	1.411	27


Entry 2:
For GdHo4B3O10, the PBE geometry in OQMD gives the calculated powder X-ray diffraction pattern in this record (Cu Kα, 1.54184 Å).
Peak positions follow from Bragg's law for the DFT cell and can differ from measured ones.

Structure:
a b c (Å): 8.702 8.702 3.703
angles (deg): 94.79 94.79 128.11
Fractional coordinates of all 18 atoms:
Gd 0.000 0.000 0.000
Ho 0.299 0.505 0.654
Ho 0.505 0.299 0.654
Ho 0.577 0.965 0.339
Ho 0.965 0.577 0.339
B 0.261 0.862 0.967
B 0.631 0.631 0.396
B 0.862 0.261 0.967
O 0.053 0.768 0.902
O 0.072 0.397 0.105
O 0.200 0.200 0.590
O 0.319 0.788 0.693
O 0.397 0.072 0.105
O 0.484 0.652 0.214
O 0.652 0.484 0.214
O 0.768 0.053 0.902
O 0.788 0.319 0.693
O 0.827 0.827 0.437

Peak list (10 most intense, 5 to 70 degrees two-theta, sorted by position)
2θ (°)	d/Å	I (rel.)
20.77	4.278	39
23.81	3.737	25
26.43	3.372	47
27.05	3.297	26
29.86	2.992	64
30.87	2.897	62
30.98	2.887	100
38.36	2.347	26
49.66	1.836	60
51.91	1.761	23


Entry 3:
For Sc4CdB3, the PBE geometry in OQMD gives the calculated powder X-ray diffraction pattern in this record (Cu Kα, 1.54184 Å).
Peak positions follow from Bragg's law for the DFT cell and can differ from measured ones.

Structure:
a b c (Å): 3.294 3.294 29.199
angles (deg): 90.00 90.00 120.00
Fractional coordinates of all 16 atoms:
Sc 0.000 0.000 0.159
Sc 0.000 0.000 0.341
Sc 0.000 0.000 0.659
Sc 0.000 0.000 0.841
Sc 0.333 0.667 0.054
Sc 0.333 0.667 0.446
Sc 0.667 0.333 0.554
Sc 0.667 0.333 0.946
Cd 0.333 0.667 0.250
Cd 0.667 0.333 0.750
B 0.000 0.000 0.000
B 0.000 0.000 0.500
B 0.333 0.667 0.611
B 0.333 0.667 0.889
B 0.667 0.333 0.111
B 0.667 0.333 0.389

Peak list (10 most intense, 5 to 70 degrees two-theta, sorted by position)
2θ (°)	d/Å	I (rel.)
6.05	14.600	100
12.12	7.300	22
30.62	2.920	45
31.51	2.839	51
33.74	2.657	38
35.01	2.563	93
36.51	2.461	77
46.75	1.943	29
55.82	1.647	33
65.02	1.434	28


Entry 4:
For DyErGa4Au2, the PBE geometry in OQMD gives the calculated powder X-ray diffraction pattern in this record (Cu Kα, 1.54184 Å).
Peak positions follow from Bragg's law for the DFT cell and can differ from measured ones.

Structure:
a b c (Å): 6.647 4.497 10.331
angles (deg): 90.00 90.00 90.00
Fractional coordinates of all 16 atoms:
Dy 0.000 0.000 0.000
Dy 0.000 0.500 0.500
Er 0.500 0.000 0.184
Er 0.500 0.500 0.684
Ga 0.200 0.000 0.711
Ga 0.200 0.500 0.211
Ga 0.300 0.000 0.472
Ga 0.300 0.500 0.972
Ga 0.700 0.000 0.472
Ga 0.700 0.500 0.972
Ga 0.800 0.000 0.711
Ga 0.800 0.500 0.211
Au 0.000 0.000 0.292
Au 0.000 0.500 0.792
Au 0.500 0.000 0.891
Au 0.500 0.500 0.391

Peak list (10 most intense, 5 to 70 degrees two-theta, sorted by position)
2θ (°)	d/Å	I (rel.)
26.82	3.324	30
34.67	2.587	97
35.50	2.529	100
37.35	2.407	41
40.11	2.248	47
42.83	2.111	41
46.53	1.952	16
54.57	1.682	16
55.96	1.643	26
69.87	1.346	29


Entry 5:
For Nd2Al8Ni, the PBE geometry in OQMD gives the calculated powder X-ray diffraction pattern in this record (Cu Kα, 1.54184 Å).
Peak positions follow from Bragg's law for the DFT cell and can differ from measured ones.

Structure:
a b c (Å): 4.312 4.312 11.331
angles (deg): 90.00 90.00 90.00
Fractional coordinates of all 11 atoms:
Nd 0.000 0.000 0.193
Nd 0.000 0.000 0.807
Al 0.000 0.500 0.000
Al 0.000 0.500 0.384
Al 0.000 0.500 0.616
Al 0.500 0.000 0.000
Al 0.500 0.000 0.384
Al 0.500 0.000 0.616
Al 0.500 0.500 0.199
Al 0.500 0.500 0.801
Ni 0.000 0.000 0.500

Peak list (10 most intense, 5 to 70 degrees two-theta, sorted by position)
2θ (°)	d/Å	I (rel.)
20.60	4.312	89
23.55	3.777	22
29.29	3.049	25
31.49	2.841	53
33.37	2.685	41
37.93	2.372	100
41.91	2.156	51
47.13	1.928	20
53.35	1.717	24
59.15	1.562	20


Entry 6:
For SmGd2Co2B2N3, the PBE geometry in OQMD gives the calculated powder X-ray diffraction pattern in this record (Cu Kα, 1.54184 Å).
Peak positions follow from Bragg's law for the DFT cell and can differ from measured ones.

Structure:
a b c (Å): 10.322 10.322 10.322
angles (deg): 160.32 160.32 27.98
Fractional coordinates of all 10 atoms:
Sm 0.000 0.000 0.000
Gd 0.374 0.374 0.000
Gd 0.626 0.626 0.000
Co 0.250 0.750 0.500
Co 0.750 0.250 0.500
B 0.196 0.196 0.000
B 0.804 0.804 0.000
N 0.121 0.121 0.000
N 0.500 0.500 0.000
N 0.879 0.879 0.000

Peak list (10 most intense, 5 to 70 degrees two-theta, sorted by position)
2θ (°)	d/Å	I (rel.)
28.61	3.120	100
33.85	2.648	71
35.86	2.504	48
35.99	2.495	40
37.13	2.421	35
40.39	2.233	32
45.38	1.999	24
51.78	1.766	60
60.26	1.536	27
64.62	1.442	33